Na2BeSiO4: computed powder X-ray diffraction pattern (Cu Kα (λ = 1.5418 Å)), based on a structure optimized by DFT (GGA-PBE).

Structure:
```
data_Na2BeSiO4
_chemical_formula_sum 'Na8 Be4 Si4 O16'
_cell_length_a 7.084
_cell_length_b 5.014
_cell_length_c 10.033
_cell_angle_alpha 90.00
_cell_angle_beta 90.09
_cell_angle_gamma 90.00
_symmetry_space_group_name_H-M 'P 1'
_symmetry_Int_Tables_number 1
_symmetry_space_group_name_Hall 'P 1'
loop_
_atom_site_label
_atom_site_type_symbol
_atom_site_fract_x
_atom_site_fract_y
_atom_site_fract_z
Na1 Na 0.002 0.208 0.390
Na2 Na 0.002 0.292 0.890
Na3 Na 0.265 0.682 0.359
Na4 Na 0.265 0.818 0.859
Na5 Na 0.735 0.182 0.141
Na6 Na 0.735 0.318 0.641
Na7 Na 0.998 0.708 0.110
Na8 Na 0.998 0.792 0.610
Be1 Be 0.499 0.658 0.088
Be2 Be 0.499 0.842 0.588
Be3 Be 0.501 0.158 0.412
Be4 Be 0.501 0.342 0.912
Si1 Si 0.279 0.156 0.157
Si2 Si 0.279 0.344 0.657
Si3 Si 0.721 0.656 0.343
Si4 Si 0.721 0.844 0.843
O1 O 0.061 0.235 0.125
O2 O 0.061 0.265 0.625
O3 O 0.316 0.661 0.619
O4 O 0.316 0.839 0.119
O5 O 0.319 0.206 0.318
O6 O 0.319 0.294 0.818
O7 O 0.437 0.165 0.574
O8 O 0.437 0.335 0.074
O9 O 0.563 0.665 0.926
O10 O 0.563 0.835 0.426
O11 O 0.681 0.706 0.182
O12 O 0.681 0.794 0.682
O13 O 0.684 0.161 0.881
O14 O 0.684 0.339 0.381
O15 O 0.939 0.735 0.375
O16 O 0.939 0.765 0.875
```

The 10 most intense peaks (10 to 90 degrees two-theta), in order of falling intensity:
index  d (Å)  Rel. int.
0 0 4  2.508  100
2 1 -1  2.781  27
3 0 0  2.362  21
1 0 2  4.093  19
4 0 0  1.772  18
3 0 4  1.719  17
2 0 2  2.893  17
2 3 -1  1.495  14
3 0 2  2.137  12
0 2 1  2.432  12